No. 1
Structure and simulated X-ray diffraction stick pattern of Ac3CePb5 (a GGA-PBE-relaxed structure; Cu Kα (weighted mean of Kα1 and Kα2)).
Peak positions follow from Bragg's law for the DFT cell and can differ from measured ones.

Main lines, low angle first (2θ = 10–90°):
two_theta  I (rel.)
29.82  52
30.46  93
31.39  100
39.14  19
44.31  29
48.18  14
54.72  22
56.94  16
60.03  13
62.59  25

Structure:
```
18
Lattice="10.1665 0.0000 0.0000 -5.0832 8.8044 0.0000 0.0000 0.0000 6.8817" Properties=species:S:1:pos:R:3 pbc="T T T"
Ac -1.9364 3.3540 1.7204
Ac -3.1468 5.4504 5.1613
Ac 3.8729 0.0000 1.7204
Ac 1.9364 3.3540 5.1613
Ac 6.2936 0.0000 5.1613
Ac 3.1468 5.4504 1.7204
Ce 0.0000 0.0000 0.0000
Ce 0.0000 0.0000 3.4409
Pb -1.4285 2.4743 5.1613
Pb -3.6547 6.3301 1.7204
Pb 2.8571 0.0000 5.1613
Pb 1.4285 2.4743 1.7204
Pb 0.0000 5.8696 0.0000
Pb 0.0000 5.8696 3.4409
Pb 5.0832 2.9348 0.0000
Pb 5.0832 2.9348 3.4409
Pb 7.3094 0.0000 1.7204
Pb 3.6547 6.3301 5.1613
```

---

No. 2
Structure and simulated X-ray diffraction stick pattern of AcCe4Pb4 (a GGA-PBE-relaxed structure; Cu Kα (weighted mean of Kα1 and Kα2)).
Peak positions follow from Bragg's law for the DFT cell and can differ from measured ones.

Main lines, low angle first (2θ = 10–90°):
two_theta  I (rel.)
25.18  44
29.27  47
29.92  30
30.40  46
31.36  100
35.76  44
36.59  65
39.63  19
56.21  28
60.70  26

Structure:
```
18
Lattice="9.6498 0.0000 0.0000 0.0000 9.6498 0.0000 0.0000 0.0000 6.1741" Properties=species:S:1:pos:R:3 pbc="T T T"
Ac 2.4124 2.4124 1.5435
Ac 7.2373 7.2373 4.6306
Ce 1.1867 7.8620 3.8818
Ce 1.7878 6.0116 0.7947
Ce 3.0371 8.4631 0.7947
Ce 3.6382 6.6127 3.8818
Ce 6.0116 3.0371 2.2923
Ce 6.6127 1.1867 5.3794
Ce 7.8620 3.6382 5.3794
Ce 8.4631 1.7878 2.2923
Pb 0.3855 1.1680 5.1739
Pb 1.1680 4.4394 4.0873
Pb 3.6569 0.3855 4.0873
Pb 4.4394 3.6569 5.1739
Pb 5.2103 5.9929 1.0002
Pb 5.9929 9.2643 2.0868
Pb 8.4818 5.2103 2.0868
Pb 9.2643 8.4818 1.0002
```

---

No. 3
Structure and simulated X-ray diffraction stick pattern of AcCeTmPb (a GGA-PBE-relaxed structure; Cu Kα (weighted mean of Kα1 and Kα2)).
Peak positions follow from Bragg's law for the DFT cell and can differ from measured ones.

Main lines, low angle first (2θ = 10–90°):
two_theta  I (rel.)
22.36  3
31.82  100
39.24  1
45.62  19
51.38  1
56.70  40
66.50  12
71.12  1
75.62  17
84.37  4

Structure:
```
16
Lattice="7.9535 0.0000 0.0000 0.0000 7.9535 0.0000 0.0000 0.0000 7.9535" Properties=species:S:1:pos:R:3 pbc="T T T"
Ac 0.0000 0.0000 0.0000
Ac 0.0000 3.9767 3.9767
Ac 3.9767 0.0000 3.9767
Ac 3.9767 3.9767 0.0000
Ce 1.9884 1.9884 5.9651
Ce 1.9884 5.9651 1.9884
Ce 5.9651 1.9884 1.9884
Ce 5.9651 5.9651 5.9651
Tm 1.9884 1.9884 1.9884
Tm 1.9884 5.9651 5.9651
Tm 5.9651 1.9884 5.9651
Tm 5.9651 5.9651 1.9884
Pb 0.0000 0.0000 3.9767
Pb 0.0000 3.9767 0.0000
Pb 3.9767 0.0000 0.0000
Pb 3.9767 3.9767 3.9767
```

---

No. 4
Structure and simulated X-ray diffraction stick pattern of AcCeSb2Pd2 (a GGA-PBE-relaxed structure; Cu Kα (weighted mean of Kα1 and Kα2)).
Peak positions follow from Bragg's law for the DFT cell and can differ from measured ones.

Main lines, low angle first (2θ = 10–90°):
two_theta  I (rel.)
30.90  100
38.66  54
43.58  12
50.29  26
59.65  27
65.18  24
69.97  9
72.13  8
82.91  6
86.16  10

Structure:
```
6
Lattice="4.6579 0.0000 0.0000 -2.3290 4.0339 0.0000 0.0000 0.0000 8.3075" Properties=species:S:1:pos:R:3 pbc="T T T"
Ac 0.0000 0.0000 0.0000
Ce 0.0000 0.0000 4.1537
Sb 0.0000 2.6893 2.1983
Sb 2.3290 1.3446 6.1092
Pd 0.0000 2.6893 6.0692
Pd 2.3290 1.3446 2.2383
```

---

No. 5
Structure and simulated X-ray diffraction stick pattern of AcCe2Sb2Pd2 (a GGA-PBE-relaxed structure; Cu Kα (weighted mean of Kα1 and Kα2)).
Peak positions follow from Bragg's law for the DFT cell and can differ from measured ones.

Main lines, low angle first (2θ = 10–90°):
two_theta  I (rel.)
21.97  11
25.22  11
31.25  100
33.67  18
38.13  82
38.93  12
50.10  27
64.66  25
68.91  14
89.93  11

Structure:
```
7
Lattice="2.3600 1.3625 9.3535 -2.3600 1.3625 9.3535 0.0000 -2.7251 9.3535" Properties=species:S:1:pos:R:3 pbc="T T T"
Ac 0.0000 0.0000 0.0000
Ce 0.0000 0.0000 4.0185
Ce 0.0000 0.0000 24.0419
Sb 0.0000 0.0000 7.3223
Sb 0.0000 0.0000 20.7382
Pd 0.0000 0.0000 12.3017
Pd 0.0000 0.0000 15.7587
```

---

No. 6
Structure and simulated X-ray diffraction stick pattern of Ac2CePdSe5 (a GGA-PBE-relaxed structure; Cu Kα (weighted mean of Kα1 and Kα2)).
Peak positions follow from Bragg's law for the DFT cell and can differ from measured ones.

Main lines, low angle first (2θ = 10–90°):
two_theta  I (rel.)
19.94  16
22.86  31
29.99  100
30.90  22
32.89  18
33.25  26
35.76  41
36.72  15
42.83  26
47.51  16

Structure:
```
18
Lattice="2.1116 -8.9068 0.0000 2.1116 8.9068 0.0000 0.0000 0.0000 12.9756" Properties=species:S:1:pos:R:3 pbc="T T T"
Ac 2.1116 6.9419 6.4878
Ac 2.1116 6.7342 11.0464
Ac 2.1116 -6.7342 4.5586
Ac 2.1116 -6.9419 0.0000
Ce 2.1116 5.7679 2.2695
Ce 2.1116 -5.7679 8.7573
Pd 2.1116 1.0412 7.4747
Pd 2.1116 -1.0412 0.9869
Se 2.1116 8.6022 2.2534
Se 2.1116 3.5018 6.6886
Se 2.1116 3.4556 10.8376
Se 2.1116 2.8211 2.2432
Se 2.1116 0.0444 11.6437
Se 2.1116 -0.0444 5.1558
Se 2.1116 -2.8211 8.7310
Se 2.1116 -3.4556 4.3498
Se 2.1116 -3.5018 0.2008
Se 2.1116 -8.6022 8.7412
```

---

No. 7
Structure and simulated X-ray diffraction stick pattern of AcCePm (a GGA-PBE-relaxed structure; Cu Kα (weighted mean of Kα1 and Kα2)).
Peak positions follow from Bragg's law for the DFT cell and can differ from measured ones.

Main lines, low angle first (2θ = 10–90°):
two_theta  I (rel.)
29.60  100
34.20  35
34.54  16
49.15  13
49.40  23
58.43  30
58.88  12
61.46  12
79.76  6
80.15  10

Structure:
```
6
Lattice="3.7077 0.0000 0.0000 0.0000 3.7077 0.0000 0.0000 0.0000 15.5794" Properties=species:S:1:pos:R:3 pbc="T T T"
Ac 0.0000 0.0000 0.0000
Ac 1.8538 1.8538 7.7897
Ce 0.0000 0.0000 10.3512
Ce 1.8538 1.8538 2.5614
Pm 0.0000 0.0000 4.9291
Pm 1.8538 1.8538 12.7189
```

---

No. 8
Structure and simulated X-ray diffraction stick pattern of AcCePm14 (a GGA-PBE-relaxed structure; Cu Kα (weighted mean of Kα1 and Kα2)).
Peak positions follow from Bragg's law for the DFT cell and can differ from measured ones.

Main lines, low angle first (2θ = 10–90°):
two_theta  I (rel.)
29.84  100
34.59  51
49.73  36
59.08  43
61.99  13
72.93  4
73.06  2
80.78  18
83.30  11
83.41  5

Structure:
```
16
Lattice="7.3377 0.0000 0.0000 0.0000 7.3377 0.0000 0.0000 0.0000 10.3609" Properties=species:S:1:pos:R:3 pbc="T T T"
Ac 0.0000 0.0000 0.0000
Ce 3.6689 3.6689 0.0000
Pm 0.0000 0.0000 5.1805
Pm 0.0000 3.6689 0.0000
Pm 0.0000 3.6689 5.1805
Pm 1.8627 1.8627 2.6080
Pm 1.8627 1.8627 7.7530
Pm 1.8627 5.4750 2.6080
Pm 1.8627 5.4750 7.7530
Pm 3.6689 0.0000 0.0000
Pm 3.6689 0.0000 5.1805
Pm 3.6689 3.6689 5.1805
Pm 5.4750 1.8627 2.6080
Pm 5.4750 1.8627 7.7530
Pm 5.4750 5.4750 2.6080
Pm 5.4750 5.4750 7.7530
```

---

No. 9
Structure and simulated X-ray diffraction stick pattern of AcCePmSb (a GGA-PBE-relaxed structure; Cu Kα (weighted mean of Kα1 and Kα2)).
Peak positions follow from Bragg's law for the DFT cell and can differ from measured ones.

Main lines, low angle first (2θ = 10–90°):
two_theta  I (rel.)
19.39  5
31.93  100
37.63  3
45.78  19
50.15  2
56.89  39
60.69  1
66.74  12
75.90  17
84.70  4

Structure:
```
16
Lattice="7.9286 0.0000 0.0000 0.0000 7.9286 0.0000 0.0000 0.0000 7.9286" Properties=species:S:1:pos:R:3 pbc="T T T"
Ac 0.0000 0.0000 0.0000
Ac 0.0000 3.9643 3.9643
Ac 3.9643 0.0000 3.9643
Ac 3.9643 3.9643 0.0000
Ce 1.9822 1.9822 5.9465
Ce 1.9822 5.9465 1.9822
Ce 5.9465 1.9822 1.9822
Ce 5.9465 5.9465 5.9465
Pm 1.9822 1.9822 1.9822
Pm 1.9822 5.9465 5.9465
Pm 5.9465 1.9822 5.9465
Pm 5.9465 5.9465 1.9822
Sb 0.0000 0.0000 3.9643
Sb 0.0000 3.9643 0.0000
Sb 3.9643 0.0000 0.0000
Sb 3.9643 3.9643 3.9643
```

---

No. 10
Structure and simulated X-ray diffraction stick pattern of AcCe2PrSb4 (a GGA-PBE-relaxed structure; Cu Kα (weighted mean of Kα1 and Kα2)).
Peak positions follow from Bragg's law for the DFT cell and can differ from measured ones.

Main lines, low angle first (2θ = 10–90°):
two_theta  I (rel.)
23.72  4
27.46  100
29.97  2
39.22  77
46.35  2
48.54  28
56.67  13
64.10  35
71.08  26
84.32  8

Structure:
```
8
Lattice="7.9558 0.0000 0.0000 0.0000 4.5920 0.0000 -2.6507 0.0000 7.5072" Properties=species:S:1:pos:R:3 pbc="T T T"
Ac 0.0000 0.0000 0.0000
Ce 2.6526 0.0000 3.7536
Ce 3.9779 2.2960 0.0000
Pr -1.3253 2.2960 3.7536
Sb 0.0829 0.0000 5.6079
Sb 1.4100 2.2960 1.9592
Sb 3.8951 2.2960 5.5480
Sb 5.2222 0.0000 1.8993
```

---

No. 11
Structure and simulated X-ray diffraction stick pattern of AcCe3Pr2Sb6 (a GGA-PBE-relaxed structure; Cu Kα (weighted mean of Kα1 and Kα2)).
Peak positions follow from Bragg's law for the DFT cell and can differ from measured ones.

Main lines, low angle first (2θ = 10–90°):
two_theta  I (rel.)
23.83  3
27.58  100
39.40  77
46.57  2
48.77  28
56.95  13
64.42  35
71.46  26
84.79  8
89.68  1

Structure:
```
12
Lattice="3.9610 -6.8601 0.0000 3.9610 6.8601 0.0000 -2.6436 0.0000 7.4675" Properties=species:S:1:pos:R:3 pbc="T T T"
Ac 0.0000 0.0000 0.0000
Ce 2.6392 4.6043 3.7338
Ce 2.6392 0.0000 3.7338
Ce 2.6392 -4.6043 3.7338
Pr 3.9610 2.2971 0.0000
Pr 3.9610 -2.2971 0.0000
Sb 1.3490 2.3346 1.9445
Sb 0.0566 0.0000 5.5420
Sb 1.3490 -2.3346 1.9445
Sb 3.9294 2.3346 5.5230
Sb 5.2218 0.0000 1.9255
Sb 3.9294 -2.3346 5.5230
```

---

No. 12
Structure and simulated X-ray diffraction stick pattern of AcCePrSe3 (a GGA-PBE-relaxed structure; Cu Kα (weighted mean of Kα1 and Kα2)).
Peak positions follow from Bragg's law for the DFT cell and can differ from measured ones.

Main lines, low angle first (2θ = 10–90°):
two_theta  I (rel.)
21.91  32
25.47  31
27.10  58
27.50  45
29.93  64
30.34  100
33.08  54
37.97  51
42.15  68
42.45  33

Structure:
```
12
Lattice="8.4032 0.0000 0.0000 0.0000 4.2854 0.0000 -2.7641 0.0000 10.2713" Properties=species:S:1:pos:R:3 pbc="T T T"
Ac 1.0203 1.0714 2.1564
Ac 4.6187 3.2141 8.1149
Ce -0.3311 1.0714 6.3464
Ce 5.9701 3.2141 3.9249
Pr 0.3771 3.2141 9.2331
Pr 5.2619 1.0714 1.0382
Se -1.6941 1.0714 9.1338
Se 0.5439 3.2141 4.5087
Se 3.4071 3.2141 2.0199
Se 2.2320 1.0714 8.2514
Se 5.0952 1.0714 5.7626
Se 7.3331 3.2141 1.1375
```